(1)
Starting from DFT lattice parameters and positions (GGA-PBE), the X-ray powder pattern of KCdInAsCl was computed for copper Kα.
No peak broadening, texture or thermal motion is included.

Most intense lines, 2θ from 15° to 90°, in order of rising 2θ:
| d [Å] | I/Imax |
| --- | --- |
| 3.771 | 30 |
| 3.681 | 17 |
| 3.379 | 30 |
| 3.195 | 100 |
| 2.822 | 18 |
| 2.646 | 53 |
| 2.194 | 100 |
| 2.142 | 24 |
| 1.947 | 22 |
| 1.809 | 19 |
| 1.396 | 15 |
| 1.267 | 21 |

```
15
Lattice="4.3902 0.0000 0.0000 -2.1951 3.8020 0.0000 0.0000 0.0000 29.4748" Properties=species:S:1:pos:R:3 pbc="T T T"
K 0.0000 0.0000 0.0000
K 0.0000 2.5347 19.6499
K 2.1951 1.2673 9.8249
Cd 0.0000 0.0000 5.6086
Cd 0.0000 2.5347 25.2585
Cd 2.1951 1.2673 15.4335
In 0.0000 0.0000 12.8095
In 0.0000 2.5347 2.9846
In 2.1951 1.2673 22.6344
As 0.0000 0.0000 24.1937
As 0.0000 2.5347 14.3688
As 2.1951 1.2673 4.5438
Cl 0.0000 0.0000 8.2640
Cl 0.0000 2.5347 27.9138
Cl 2.1951 1.2673 18.0889
```

(2)
Starting from DFT lattice parameters and positions (GGA-PBE), the X-ray powder pattern of KCdInAsCl was computed for copper Kα.
No peak broadening, texture or thermal motion is included.

Most intense lines, 2θ from 15° to 90°, in order of rising 2θ:
| d [Å] | I/Imax |
| --- | --- |
| 3.391 | 51 |
| 3.164 | 100 |
| 2.937 | 19 |
| 2.729 | 35 |
| 2.534 | 14 |
| 2.281 | 70 |
| 2.208 | 21 |
| 2.202 | 15 |
| 1.850 | 20 |
| 1.801 | 26 |
| 1.584 | 33 |
| 1.437 | 17 |

```
15
Lattice="4.5615 0.0000 0.0000 -2.2807 3.9503 0.0000 0.0000 0.0000 26.4298" Properties=species:S:1:pos:R:3 pbc="T T T"
K 0.0000 0.0000 0.0000
K 0.0000 2.6336 17.6199
K 2.2807 1.3168 8.8099
Cd 0.0000 0.0000 14.8248
Cd 0.0000 2.6336 6.0148
Cd 2.2807 1.3168 23.6347
In 0.0000 0.0000 21.3013
In 0.0000 2.6336 12.4914
In 2.2807 1.3168 3.6815
As 0.0000 0.0000 5.9121
As 0.0000 2.6336 23.5320
As 2.2807 1.3168 14.7220
Cl 0.0000 0.0000 10.4177
Cl 0.0000 2.6336 1.6078
Cl 2.2807 1.3168 19.2277
```

(3)
Starting from DFT lattice parameters and positions (GGA-PBE), the X-ray powder pattern of KCdInAsCl was computed for copper Kα.
No peak broadening, texture or thermal motion is included.

Most intense lines, 2θ from 15° to 90°, in order of rising 2θ:
| d [Å] | I/Imax |
| --- | --- |
| 4.952 | 21 |
| 3.696 | 83 |
| 3.613 | 32 |
| 3.330 | 100 |
| 3.301 | 30 |
| 2.800 | 43 |
| 2.323 | 49 |
| 2.187 | 51 |
| 2.151 | 77 |
| 1.948 | 16 |
| 1.807 | 16 |
| 1.802 | 31 |

```
15
Lattice="4.3014 0.0000 0.0000 -2.1507 3.7251 0.0000 0.0000 0.0000 29.7119" Properties=species:S:1:pos:R:3 pbc="T T T"
K 0.0000 0.0000 0.0000
K 0.0000 2.4834 19.8079
K 2.1507 1.2417 9.9039
Cd 0.0000 0.0000 16.0667
Cd 0.0000 2.4834 6.1627
Cd 2.1507 1.2417 25.9706
In 0.0000 0.0000 13.2381
In 0.0000 2.4834 3.3342
In 2.1507 1.2417 23.1421
As 0.0000 0.0000 22.1496
As 0.0000 2.4834 12.2457
As 2.1507 1.2417 2.3417
Cl 0.0000 0.0000 7.9571
Cl 0.0000 2.4834 27.7651
Cl 2.1507 1.2417 17.8611
```

(4)
Starting from DFT lattice parameters and positions (GGA-PBE), the X-ray powder pattern of Cd4AsS2Cl was computed for copper Kα.
No peak broadening, texture or thermal motion is included.

Most intense lines, 2θ from 15° to 90°, in order of rising 2θ:
| d [Å] | I/Imax |
| --- | --- |
| 3.283 | 28 |
| 3.213 | 25 |
| 2.820 | 100 |
| 2.796 | 49 |
| 2.027 | 19 |
| 1.986 | 69 |
| 1.963 | 16 |
| 1.641 | 19 |
| 1.606 | 16 |
| 1.259 | 14 |
| 1.253 | 14 |
| 1.162 | 11 |

```
16
Lattice="-3.9251 4.0550 5.5923 3.9251 -4.0550 5.5923 3.9251 4.0550 -5.5923" Properties=species:S:1:pos:R:3 pbc="T T T"
Cd 0.0000 0.0028 2.7077
Cd 1.7992 2.0275 0.0177
Cd 2.1258 -2.0275 5.6100
Cd 3.9251 0.0028 2.8846
Cd 0.0000 4.0522 2.7077
Cd 1.7992 6.0824 -0.0177
Cd 2.1258 2.0275 5.5746
Cd 3.9251 4.0522 2.8846
As -1.9625 2.0275 2.7961
As 1.9625 2.0275 2.7961
S 0.0000 0.0000 0.0000
S 1.9625 2.0275 -2.7961
S 1.9625 -2.0275 2.7961
S 0.0000 4.0550 0.0000
Cl 3.9251 0.0000 0.0000
Cl 0.0000 0.0000 5.5923
```